(1)
Starting from the GGA+U geometry in the Materials Project, the X-ray powder pattern of LiFe2P2HO8 was computed for λ = 1.5418 Å (Cu Kα).
Intensities are scaled so that the largest is 1000.

Crystal structure
Lattice parameters (Å, degrees): 5.027 8.635 7.782 90.00 104.77 90.00
Sites, in units of the cell vectors:
Li: 0.242 0.000 0.253
Li: 0.758 0.500 0.747
Fe: 0.129 0.347 0.086
Fe: 0.357 0.658 0.429
Fe: 0.643 0.158 0.571
Fe: 0.871 0.847 0.914
P: 0.125 0.360 0.471
P: 0.387 0.650 0.028
P: 0.613 0.150 0.972
P: 0.875 0.860 0.529
H: 0.274 0.023 0.753
H: 0.726 0.523 0.247
O: 0.001 0.453 0.291
O: 0.101 0.833 0.431
O: 0.165 0.536 0.931
O: 0.243 0.207 0.416
O: 0.259 0.799 0.078
O: 0.358 0.463 0.580
O: 0.387 0.175 0.069
O: 0.474 0.069 0.780
O: 0.526 0.569 0.220
O: 0.613 0.675 0.931
O: 0.642 0.963 0.420
O: 0.741 0.299 0.922
O: 0.757 0.707 0.584
O: 0.835 0.036 0.069
O: 0.899 0.333 0.569
O: 0.999 0.953 0.709

Top 6 peaks for 10° ≤ 2θ ≤ 90°, in order of falling intensity:
| 2theta | I (rel.) | hkl |
| --- | --- | --- |
| 27.63 | 1000 | 1 2 0 |
| 23.65 | 712 | 0 0 2 |
| 33.37 | 516 | 1 2 -2 |
| 20.97 | 486 | 1 1 0 |
| 15.62 | 273 | 0 1 1 |
| 19.04 | 256 | 1 0 -1 |

=====

(2)
Starting from the GGA+U geometry in the Materials Project, the X-ray powder pattern of Li3Fe2P4HO14 was computed for λ = 1.5418 Å (Cu Kα).
Intensities are scaled so that the largest is 1000.

Crystal structure
Lattice parameters (Å, degrees): 5.211 8.534 12.940 81.87 78.80 88.34
Sites, in units of the cell vectors:
Li: 0.000 0.000 0.000
Li: 0.195 0.448 0.559
Li: 0.305 0.051 0.441
Li: 0.500 0.500 0.000
Li: 0.695 0.949 0.559
Li: 0.805 0.552 0.441
Fe: 0.126 0.082 0.731
Fe: 0.375 0.418 0.268
Fe: 0.625 0.582 0.732
Fe: 0.874 0.918 0.269
P: 0.067 0.667 0.868
P: 0.151 0.772 0.643
P: 0.349 0.728 0.358
P: 0.433 0.833 0.132
P: 0.567 0.167 0.868
P: 0.651 0.272 0.642
P: 0.849 0.228 0.357
P: 0.933 0.333 0.132
H: 0.251 0.250 0.000
H: 0.749 0.750 0.000
O: 0.020 0.243 0.036
O: 0.110 0.810 0.765
O: 0.127 0.247 0.378
O: 0.143 0.441 0.150
O: 0.164 0.910 0.134
O: 0.185 0.879 0.365
O: 0.209 0.575 0.415
O: 0.291 0.925 0.585
O: 0.315 0.620 0.635
O: 0.336 0.590 0.866
O: 0.358 0.059 0.850
O: 0.373 0.253 0.621
O: 0.390 0.690 0.235
O: 0.480 0.257 0.964
O: 0.520 0.743 0.036
O: 0.610 0.310 0.765
O: 0.627 0.747 0.379
O: 0.642 0.941 0.150
O: 0.664 0.410 0.134
O: 0.685 0.380 0.365
O: 0.709 0.075 0.415
O: 0.791 0.425 0.585
O: 0.815 0.121 0.635
O: 0.836 0.090 0.866
O: 0.857 0.559 0.850
O: 0.873 0.753 0.622
O: 0.890 0.190 0.235
O: 0.980 0.757 0.964

Top 6 peaks for 10° ≤ 2θ ≤ 90°, in order of falling intensity:
| 2theta | I (rel.) | hkl |
| --- | --- | --- |
| 14.09 | 1000 | 0 0 2 |
| 21.24 | 705 | 0 2 1 |
| 23.12 | 541 | 0 2 -1 |
| 20.89 | 478 | 1 -1 1 |
| 32.90 | 468 | 1 1 -3 |
| 22.15 | 467 | -1 1 1 |